No. 1
Calculated X-ray diffraction stick pattern
Compound: LiLa2Zn10
Radiation: Cu Kα (λ = 1.5418 Å)
Structure: a crystal structure in Alexandria, relaxed with GGA-PBE
Neutral-atom scattering factors, no anomalous dispersion.

Most intense lines, 5° ≤ 2θ ≤ 70°, by intensity:
- 38.0°, rel. 100.0
- 37.9°, rel. 98.8
- 44.2°, rel. 83.4
- 39.4°, rel. 71.8
- 39.6°, rel. 70.3
- 37.2°, rel. 69.6
- 25.3°, rel. 55.1
- 29.6°, rel. 50.4
- 29.7°, rel. 48.5
- 33.4°, rel. 48.2

Structural model:
abc: 5.505 7.048 13.662
angles: 90.00 113.48 90.00
Fractional coordinates of all 26 atoms:
Li1 0.000 0.000 0.000
Li2 0.000 0.500 0.500
La1 0.396 0.211 0.393
La2 0.396 0.289 0.893
La3 0.604 0.711 0.107
La4 0.604 0.789 0.607
Zn1 0.001 0.167 0.499
Zn2 0.001 0.333 0.999
Zn3 0.125 0.684 0.357
Zn4 0.125 0.816 0.857
Zn5 0.195 0.007 0.697
Zn6 0.195 0.493 0.197
Zn7 0.201 0.616 0.703
Zn8 0.201 0.884 0.203
Zn9 0.411 0.184 0.144
Zn10 0.411 0.316 0.644
Zn11 0.589 0.684 0.356
Zn12 0.589 0.816 0.856
Zn13 0.799 0.116 0.797
Zn14 0.799 0.384 0.297
Zn15 0.805 0.507 0.803
Zn16 0.805 0.993 0.303
Zn17 0.875 0.184 0.143
Zn18 0.875 0.316 0.643
Zn19 0.999 0.667 0.001
Zn20 0.999 0.833 0.501

=====

No. 2
Calculated X-ray diffraction stick pattern
Compound: LiLa2Zn3
Radiation: Cu Kα (λ = 1.5418 Å)
Structure: a crystal structure in Alexandria, relaxed with GGA-PBE
Neutral-atom scattering factors, no anomalous dispersion.

Most intense lines, 5° ≤ 2θ ≤ 70°, by intensity:
- 33.7°, rel. 100.0
- 37.6°, rel. 40.8
- 21.4°, rel. 28.5
- 37.4°, rel. 20.7
- 51.2°, rel. 19.9
- 66.6°, rel. 14.6
- 51.4°, rel. 10.7
- 65.3°, rel. 9.9
- 65.1°, rel. 9.6
- 65.4°, rel. 9.3

Structural model:
abc: 9.570 8.974 5.929
angles: 76.91 65.97 37.12
Fractional coordinates of all 12 atoms:
Li1 0.167 0.167 0.833
Li2 0.833 0.833 0.167
La1 0.250 0.250 0.250
La2 0.253 0.747 0.747
La3 0.747 0.253 0.253
La4 0.750 0.750 0.750
Zn1 0.167 0.667 0.333
Zn2 0.333 0.833 0.167
Zn3 0.334 0.334 0.666
Zn4 0.666 0.666 0.334
Zn5 0.667 0.167 0.833
Zn6 0.833 0.333 0.667

=====

No. 3
Calculated X-ray diffraction stick pattern
Compound: Li2LaZn4
Radiation: Cu Kα (λ = 1.5418 Å)
Structure: a crystal structure in Alexandria, relaxed with GGA-PBE
Neutral-atom scattering factors, no anomalous dispersion.

Most intense lines, 5° ≤ 2θ ≤ 70°, by intensity:
- 9.6°, rel. 100.0
- 39.3°, rel. 67.8
- 35.4°, rel. 59.2
- 31.1°, rel. 39.6
- 31.2°, rel. 39.4
- 39.5°, rel. 28.2
- 36.9°, rel. 23.0
- 51.2°, rel. 19.3
- 61.1°, rel. 16.7
- 55.1°, rel. 14.1

Structural model:
abc: 3.233 4.566 18.519
angles: 90.00 90.00 90.00
Fractional coordinates of all 14 atoms:
Li1 0.000 0.000 0.200
Li2 0.000 0.000 0.800
Li3 0.500 0.500 0.300
Li4 0.500 0.500 0.700
La1 0.000 0.500 0.000
La2 0.500 0.000 0.500
Zn1 0.000 0.000 0.347
Zn2 0.000 0.000 0.653
Zn3 0.000 0.500 0.418
Zn4 0.000 0.500 0.582
Zn5 0.500 0.000 0.082
Zn6 0.500 0.000 0.918
Zn7 0.500 0.500 0.153
Zn8 0.500 0.500 0.847

=====

No. 4
Calculated X-ray diffraction stick pattern
Compound: La2Lu
Radiation: Cu Kα (λ = 1.5418 Å)
Structure: a crystal structure in Alexandria, relaxed with GGA-PBE
Neutral-atom scattering factors, no anomalous dispersion.

Most intense lines, 5° ≤ 2θ ≤ 70°, by intensity:
- 30.0°, rel. 100.0
- 34.3°, rel. 35.1
- 58.8°, rel. 29.8
- 50.3°, rel. 23.7
- 35.6°, rel. 15.7
- 60.5°, rel. 13.8
- 49.3°, rel. 12.6
- 62.3°, rel. 12.4
- 11.7°, rel. 2.1
- 38.4°, rel. 0.9

Structural model:
abc: 3.698 3.698 15.130
angles: 90.00 90.00 90.00
Fractional coordinates of all 6 atoms:
La1 0.000 0.000 0.164
La2 0.000 0.000 0.836
La3 0.500 0.500 0.336
La4 0.500 0.500 0.664
Lu1 0.000 0.000 0.500
Lu2 0.500 0.500 0.000

=====

No. 5
Calculated X-ray diffraction stick pattern
Compound: LaTbLuMg
Radiation: Cu Kα (λ = 1.5418 Å)
Structure: a crystal structure in Alexandria, relaxed with GGA-PBE
Neutral-atom scattering factors, no anomalous dispersion.

Most intense lines, 5° ≤ 2θ ≤ 70°, by intensity:
- 32.2°, rel. 100.0
- 57.3°, rel. 38.6
- 19.5°, rel. 20.4
- 46.1°, rel. 18.4
- 67.3°, rel. 11.9
- 37.9°, rel. 11.7
- 50.5°, rel. 5.2
- 22.6°, rel. 4.6
- 61.2°, rel. 4.0
- 51.9°, rel. 1.9

Structural model:
abc: 7.874 7.874 7.874
angles: 90.00 90.00 90.00
Fractional coordinates of all 16 atoms:
La1 0.000 0.000 0.000
La2 0.000 0.500 0.500
La3 0.500 0.000 0.500
La4 0.500 0.500 0.000
Tb1 0.000 0.000 0.500
Tb2 0.000 0.500 0.000
Tb3 0.500 0.000 0.000
Tb4 0.500 0.500 0.500
Lu1 0.250 0.250 0.250
Lu2 0.250 0.750 0.750
Lu3 0.750 0.250 0.750
Lu4 0.750 0.750 0.250
Mg1 0.250 0.250 0.750
Mg2 0.250 0.750 0.250
Mg3 0.750 0.250 0.250
Mg4 0.750 0.750 0.750

=====

No. 6
Calculated X-ray diffraction stick pattern
Compound: La2LuNi
Radiation: Cu Kα (λ = 1.5418 Å)
Structure: a crystal structure in Alexandria, relaxed with GGA-PBE
Neutral-atom scattering factors, no anomalous dispersion.

Most intense lines, 5° ≤ 2θ ≤ 70°, by intensity:
- 32.7°, rel. 100.0
- 34.5°, rel. 47.5
- 60.6°, rel. 37.6
- 26.5°, rel. 25.8
- 49.5°, rel. 17.0
- 57.1°, rel. 15.5
- 48.2°, rel. 15.2
- 61.9°, rel. 9.9
- 68.5°, rel. 5.2
- 44.1°, rel. 4.9

Structural model:
abc: 3.681 3.681 8.211
angles: 90.00 90.00 90.00
Fractional coordinates of all 4 atoms:
La1 0.000 0.000 0.201
La2 0.000 0.000 0.799
Lu1 0.500 0.500 0.500
Ni1 0.500 0.500 0.000

=====

No. 7
Calculated X-ray diffraction stick pattern
Compound: LaPmLuZn
Radiation: Cu Kα (λ = 1.5418 Å)
Structure: a crystal structure in Alexandria, relaxed with GGA-PBE
Neutral-atom scattering factors, no anomalous dispersion.

Most intense lines, 5° ≤ 2θ ≤ 70°, by intensity:
- 32.9°, rel. 100.0
- 58.8°, rel. 37.8
- 47.2°, rel. 18.2
- 69.0°, rel. 11.6
- 20.0°, rel. 8.4
- 38.8°, rel. 4.8
- 51.8°, rel. 2.2
- 62.7°, rel. 1.7
- 23.1°, rel. 0.7

Structural model:
abc: 7.696 7.696 7.696
angles: 90.00 90.00 90.00
Fractional coordinates of all 16 atoms:
La1 0.000 0.000 0.000
La2 0.000 0.500 0.500
La3 0.500 0.000 0.500
La4 0.500 0.500 0.000
Pm1 0.000 0.000 0.500
Pm2 0.000 0.500 0.000
Pm3 0.500 0.000 0.000
Pm4 0.500 0.500 0.500
Lu1 0.250 0.250 0.250
Lu2 0.250 0.750 0.750
Lu3 0.750 0.250 0.750
Lu4 0.750 0.750 0.250
Zn1 0.250 0.250 0.750
Zn2 0.250 0.750 0.250
Zn3 0.750 0.250 0.250
Zn4 0.750 0.750 0.750

=====

No. 8
Calculated X-ray diffraction stick pattern
Compound: LaPrLu
Radiation: Cu Kα (λ = 1.5418 Å)
Structure: a crystal structure in Alexandria, relaxed with GGA-PBE
Neutral-atom scattering factors, no anomalous dispersion.

Most intense lines, 5° ≤ 2θ ≤ 70°, by intensity:
- 30.0°, rel. 100.0
- 34.5°, rel. 34.6
- 59.1°, rel. 29.4
- 50.2°, rel. 23.8
- 35.3°, rel. 16.1
- 60.1°, rel. 14.1
- 49.6°, rel. 12.4
- 62.4°, rel. 12.4
- 11.6°, rel. 2.1
- 38.4°, rel. 1.0

Structural model:
abc: 3.672 3.672 15.258
angles: 90.00 90.00 90.00
Fractional coordinates of all 6 atoms:
La1 0.000 0.000 0.000
La2 0.500 0.500 0.500
Pr1 0.000 0.000 0.673
Pr2 0.500 0.500 0.173
Lu1 0.000 0.000 0.335
Lu2 0.500 0.500 0.835